(1)
Structure and calculated XRD peak list of Li3MnP2HO8 (DFT lattice parameters and positions (PBE+U); λ = 1.5418 Å (Cu Kα)).
Neutral-atom scattering factors, no anomalous dispersion.

Most intense lines, 10° ≤ 2θ ≤ 90°, sorted by position:
2theta	d/Å	I/Imax	(hkl)
14.08	6.289	42.3	0 0 1
23.50	3.786	86.2	1 0 -1
23.84	3.732	67.1	0 1 1
25.17	3.538	100.0	1 -1 1
32.04	2.793	41.2	1 1 0
34.10	2.629	45.7	0 1 -2
34.60	2.592	60.4	0 1 2
34.90	2.571	13.0	1 1 -1
35.27	2.544	59.3	2 -1 0
48.25	1.886	14.4	-1 1 3
58.73	1.572	16.8	0 0 4
61.71	1.503	22.2	1 -3 2

Crystal structure
```
data_Li3MnP2HO8
_chemical_formula_sum 'Li3 Mn1 P2 H1 O8'
_cell_length_a 5.1147
_cell_length_b 5.1224
_cell_length_c 6.2898
_cell_angle_alpha 90.41
_cell_angle_beta 90.78
_cell_angle_gamma 113.83
_symmetry_space_group_name_H-M 'P 1'
_symmetry_Int_Tables_number 1
_symmetry_space_group_name_Hall 'P 1'
loop_
_atom_site_label
_atom_site_type_symbol
_atom_site_fract_x
_atom_site_fract_y
_atom_site_fract_z
Li1 Li 0.0000 0.0000 0.0000
Li2 Li 0.2463 0.6218 0.2595
Li3 Li 0.7531 0.3790 0.7405
Mn1 Mn 0.9997 0.0001 0.5003
P1 P 0.3621 0.6424 0.7498
P2 P 0.6372 0.3581 0.2507
H1 H 0.5007 0.0014 0.0003
O1 O 0.2042 0.3139 0.7636
O2 O 0.2511 0.7532 0.5572
O3 O 0.2967 0.7791 0.9596
O4 O 0.3073 0.2637 0.2576
O5 O 0.6921 0.7369 0.7428
O6 O 0.7024 0.2212 0.0406
O7 O 0.7484 0.2471 0.4430
O8 O 0.7954 0.6864 0.2366
```

(2)
Structure and calculated XRD peak list of LiMnP4H4O14 (DFT lattice parameters and positions (PBE+U); λ = 1.5418 Å (Cu Kα)).
Neutral-atom scattering factors, no anomalous dispersion.

Most intense lines, 10° ≤ 2θ ≤ 90°, sorted by position:
2theta	d/Å	I/Imax	(hkl)
12.74	6.946	100.0	0 1 0
16.52	5.367	80.9	0 1 1
17.71	5.008	31.0	0 1 -1
23.07	3.855	95.4	1 0 -1
27.46	3.248	22.7	1 1 2
27.63	3.228	78.4	1 0 2
27.90	3.198	69.3	1 2 1
28.51	3.131	23.7	-1 1 1
28.88	3.091	56.0	0 2 -1
31.26	2.861	18.5	1 2 -1
31.51	2.839	16.6	1 0 -2
42.09	2.147	27.9	1 3 2

Crystal structure
```
data_LiMnP4H4O14
_chemical_formula_sum 'Li1 Mn1 P4 H4 O14'
_cell_length_a 5.0389
_cell_length_b 7.2713
_cell_length_c 7.8832
_cell_angle_alpha 83.64
_cell_angle_beta 81.02
_cell_angle_gamma 73.26
_symmetry_space_group_name_H-M 'P -1'
_symmetry_Int_Tables_number 2
_symmetry_space_group_name_Hall '-P 1'
loop_
_atom_site_label
_atom_site_type_symbol
_atom_site_fract_x
_atom_site_fract_y
_atom_site_fract_z
Li1 Li 0.0000 0.0000 0.0000
Mn1 Mn 0.0000 0.5000 0.0000
P1 P 0.3237 0.2160 0.3087
P2 P 0.4026 0.6124 0.2288
H1 H 0.0983 0.7902 0.4275
H2 H 0.3026 0.0043 0.6234
O1 O 0.1758 0.2381 0.1519
O2 O 0.1837 0.1525 0.4808
O3 O 0.2368 0.6549 0.0749
O4 O 0.2850 0.4084 0.8148
O5 O 0.2936 0.7745 0.3542
O6 O 0.3548 0.4254 0.3410
O7 O 0.3675 0.9158 0.7290
```